1.
The following is a calculated powder diffraction line list of Y2Ho3Zn3. It was derived from a PBE-relaxed structure, using Cu Kα (weighted mean of Kα1 and Kα2).
Neutral-atom scattering factors, no anomalous dispersion.

The 10 most intense peaks (2θ = 10–90°), low angle first:
d_spacing, Position (°2θ), intensity
3.553, 25.06, 10
3.293, 27.08, 17
2.675, 33.50, 21
2.586, 34.69, 100
2.578, 34.80, 27
1.856, 49.08, 14
1.801, 50.67, 9
1.527, 60.66, 10
1.490, 62.33, 18
1.477, 62.94, 9

Cell and atoms:
```
data_Y2Ho3Zn3
_symmetry_space_group_name_H-M 'I m m m'
_symmetry_Int_Tables_number 71
_symmetry_space_group_name_Hall '-I 2 2'
_cell_length_a 3.6030
_cell_length_b 5.1554
_cell_length_c 21.4026
_cell_angle_alpha 90.00
_cell_angle_beta 90.00
_cell_angle_gamma 90.00
loop_
_atom_site_label
_atom_site_fract_x
_atom_site_fract_y
_atom_site_fract_z
_atom_site_occupancy
Y1 0.0000 0.0000 0.2280 1
Ho1 0.0000 0.0000 0.0000 1
Ho2 0.0000 0.5000 0.1173 1
Zn1 0.0000 0.0000 0.5000 1
Zn2 0.0000 0.5000 0.3857 1
```



2.
The following is a calculated powder diffraction line list of TbTm5Sc2. It was derived from a PBE-relaxed structure, using Cu Kα (weighted mean of Kα1 and Kα2).
Neutral-atom scattering factors, no anomalous dispersion.

The 10 most intense peaks (2θ = 10–90°), low angle first:
d_spacing, Position (°2θ), intensity
3.041, 29.37, 27
2.725, 32.86, 24
2.655, 33.75, 100
2.029, 44.65, 17
1.757, 52.04, 8
1.754, 52.13, 13
1.560, 59.25, 20
1.476, 62.98, 22
1.465, 63.49, 11
1.124, 86.62, 9

Cell and atoms:
```
data_TbTm5Sc2
_symmetry_space_group_name_H-M 'F m m 2'
_symmetry_Int_Tables_number 42
_symmetry_space_group_name_Hall 'F 2 -2'
_cell_length_a 7.0306
_cell_length_b 10.9014
_cell_length_c 12.1475
_cell_angle_alpha 90.00
_cell_angle_beta 90.00
_cell_angle_gamma 90.00
loop_
_atom_site_label
_atom_site_fract_x
_atom_site_fract_y
_atom_site_fract_z
_atom_site_occupancy
Tb1 0.0000 0.0000 0.0000 1
Tm1 0.0000 0.0000 0.5007 1
Tm2 0.2504 0.0000 0.2532 1
Tm3 0.2500 0.2500 0.0847 1
Sc1 0.0000 0.2494 0.3357 1
```



3.
The following is a calculated powder diffraction line list of TaAl3Pd12. It was derived from a PBE-relaxed structure, using Cu Kα (weighted mean of Kα1 and Kα2).
Neutral-atom scattering factors, no anomalous dispersion.

The 10 most intense peaks (2θ = 10–90°), low angle first:
d_spacing, Position (°2θ), intensity
7.838, 11.29, 5
3.923, 22.66, 4
3.808, 23.36, 4
2.774, 32.27, 3
2.265, 39.79, 100
1.962, 46.28, 48
1.387, 67.53, 31
1.183, 81.30, 24
1.182, 81.42, 12
1.133, 85.79, 11

Cell and atoms:
```
data_TaAl3Pd12
_symmetry_space_group_name_H-M 'P 4/m m m'
_symmetry_Int_Tables_number 123
_symmetry_space_group_name_Hall '-P 4 2'
_cell_length_a 3.9257
_cell_length_b 3.9257
_cell_length_c 15.6767
_cell_angle_alpha 90.00
_cell_angle_beta 90.00
_cell_angle_gamma 90.00
loop_
_atom_site_label
_atom_site_fract_x
_atom_site_fract_y
_atom_site_fract_z
_atom_site_occupancy
Ta1 0.0000 0.0000 0.0000 1
Al1 0.0000 0.0000 0.2572 1
Al2 0.0000 0.0000 0.5000 1
Pd1 0.0000 0.5000 0.1247 1
Pd2 0.0000 0.5000 0.3756 1
Pd3 0.5000 0.5000 0.0000 1
Pd4 0.5000 0.5000 0.2501 1
Pd5 0.5000 0.5000 0.5000 1
```



4.
The following is a calculated powder diffraction line list of Pm2Y12Th. It was derived from a PBE-relaxed structure, using Cu Kα (weighted mean of Kα1 and Kα2).
Neutral-atom scattering factors, no anomalous dispersion.

The 10 most intense peaks (2θ = 10–90°), low angle first:
d_spacing, Position (°2θ), intensity
3.060, 29.19, 49
3.023, 29.55, 73
2.916, 30.66, 65
2.877, 31.08, 100
2.821, 31.72, 39
2.735, 32.74, 87
2.702, 33.16, 85
2.430, 36.99, 48
2.096, 43.16, 34
1.586, 58.16, 32

Cell and atoms:
```
data_Pm2Y12Th
_symmetry_space_group_name_H-M 'C m m e'
_symmetry_Int_Tables_number 67
_symmetry_space_group_name_Hall '-C 2a 2'
_cell_length_a 7.0302
_cell_length_b 11.5087
_cell_length_c 24.8694
_cell_angle_alpha 90.00
_cell_angle_beta 90.00
_cell_angle_gamma 90.00
loop_
_atom_site_label
_atom_site_fract_x
_atom_site_fract_y
_atom_site_fract_z
_atom_site_occupancy
Pm1 0.0000 0.2500 0.2298 1
Pm2 0.0000 0.2500 0.7648 1
Y1 0.0000 0.0007 0.5752 1
Y2 0.0000 0.0139 0.0610 1
Y3 0.2397 0.2500 0.9146 1
Y4 0.2494 0.2500 0.3751 1
Y5 0.2500 0.0000 0.1731 1
Y6 0.2500 0.0000 0.3015 1
Th1 0.0000 0.2500 0.4997 1
```



5.
The following is a calculated powder diffraction line list of AgRhSe2. It was derived from a PBE-relaxed structure, using Cu Kα (weighted mean of Kα1 and Kα2).
Neutral-atom scattering factors, no anomalous dispersion.

The 10 most intense peaks (2θ = 10–90°), low angle first:
d_spacing, Position (°2θ), intensity
3.929, 22.63, 20
3.533, 25.21, 26
3.011, 29.67, 39
2.924, 30.58, 100
2.812, 31.83, 39
2.390, 37.64, 31
2.104, 42.98, 24
2.014, 45.00, 94
1.848, 49.32, 33
1.721, 53.22, 29

Cell and atoms:
```
data_AgRhSe2
_symmetry_space_group_name_H-M 'P n m a'
_symmetry_Int_Tables_number 62
_symmetry_space_group_name_Hall '-P 2ac 2n'
_cell_length_a 7.8587
_cell_length_b 3.6953
_cell_length_c 12.0434
_cell_angle_alpha 90.00
_cell_angle_beta 90.00
_cell_angle_gamma 90.00
loop_
_atom_site_label
_atom_site_fract_x
_atom_site_fract_y
_atom_site_fract_z
_atom_site_occupancy
Ag1 0.0216 0.2500 0.0970 1
Rh1 0.0355 0.7500 0.3746 1
Se1 0.1524 0.7500 0.5636 1
Se2 0.2235 0.2500 0.3149 1
```



6.
The following is a calculated powder diffraction line list of BeAg3Au6. It was derived from a PBE-relaxed structure, using Cu Kα (weighted mean of Kα1 and Kα2).
Neutral-atom scattering factors, no anomalous dispersion.

The 10 most intense peaks (2θ = 10–90°), low angle first:
d_spacing, Position (°2θ), intensity
3.110, 28.71, 9
2.540, 35.34, 11
2.518, 35.66, 7
2.345, 38.38, 100
2.296, 39.25, 7
2.234, 40.37, 29
2.165, 41.72, 14
1.786, 51.13, 7
1.555, 59.45, 10
1.310, 72.08, 16

Cell and atoms:
```
data_BeAg3Au6
_symmetry_space_group_name_H-M 'P 1 21/m 1'
_symmetry_Int_Tables_number 11
_symmetry_space_group_name_Hall '-P 2yb'
_cell_length_a 8.3540
_cell_length_b 4.4686
_cell_length_c 9.3691
_cell_angle_alpha 90.00
_cell_angle_beta 98.79
_cell_angle_gamma 90.00
loop_
_atom_site_label
_atom_site_fract_x
_atom_site_fract_y
_atom_site_fract_z
_atom_site_occupancy
Be1 0.0432 0.2500 0.4058 1
Ag1 0.2339 0.2500 0.9854 1
Ag2 0.3732 0.7500 0.7747 1
Ag3 0.4673 0.2500 0.5989 1
Au1 0.0578 0.7500 0.8467 1
Au2 0.1347 0.2500 0.6632 1
Au3 0.1409 0.7500 0.1612 1
Au4 0.2039 0.7500 0.4811 1
Au5 0.3037 0.2500 0.3086 1
Au6 0.4501 0.7500 0.0877 1
```



7.
The following is a calculated powder diffraction line list of Tb3OsO7. It was derived from a PBE-relaxed structure, using Cu Kα (weighted mean of Kα1 and Kα2).
Neutral-atom scattering factors, no anomalous dispersion.

The 10 most intense peaks (2θ = 10–90°), low angle first:
d_spacing, Position (°2θ), intensity
3.060, 29.18, 100
3.044, 29.34, 98
2.664, 33.64, 26
2.633, 34.06, 46
1.872, 48.64, 65
1.854, 49.14, 16
1.604, 57.44, 14
1.593, 57.90, 22
1.586, 58.18, 29
1.213, 78.90, 14

Cell and atoms:
```
data_Tb3OsO7
_symmetry_space_group_name_H-M 'C m c m'
_symmetry_Int_Tables_number 63
_symmetry_space_group_name_Hall '-C 2c 2'
_cell_length_a 10.6578
_cell_length_b 7.4765
_cell_length_c 7.4161
_cell_angle_alpha 90.00
_cell_angle_beta 90.00
_cell_angle_gamma 90.00
loop_
_atom_site_label
_atom_site_fract_x
_atom_site_fract_y
_atom_site_fract_z
_atom_site_occupancy
Tb1 0.0000 0.0000 0.0000 1
Tb2 0.2354 0.2822 0.2500 1
Os1 0.0000 0.5000 0.0000 1
O1 0.0000 0.4622 0.2500 1
O2 0.1267 0.3037 0.5241 1
O3 0.1338 0.0182 0.2500 1
```



8.
The following is a calculated powder diffraction line list of Zr3CdRh4. It was derived from a PBE-relaxed structure, using Cu Kα (weighted mean of Kα1 and Kα2).
Neutral-atom scattering factors, no anomalous dispersion.

The 9 most intense peaks (2θ = 10–90°), low angle first:
d_spacing, Position (°2θ), intensity
2.528, 35.51, 3
2.322, 38.78, 100
1.710, 53.59, 2
1.642, 56.01, 16
1.517, 61.08, 1
1.377, 68.10, 1
1.341, 70.21, 31
1.270, 74.74, 3
1.161, 83.22, 9

Cell and atoms:
```
data_Zr3CdRh4
_symmetry_space_group_name_H-M 'R -3 m'
_symmetry_Int_Tables_number 166
_symmetry_space_group_name_Hall '-R 3 2"'
_cell_length_a 4.6431
_cell_length_b 4.6431
_cell_length_c 22.7588
_cell_angle_alpha 90.00
_cell_angle_beta 90.00
_cell_angle_gamma 120.00
loop_
_atom_site_label
_atom_site_fract_x
_atom_site_fract_y
_atom_site_fract_z
_atom_site_occupancy
Zr1 0.0000 0.0000 0.0000 1
Zr2 0.0000 0.0000 0.2444 1
Cd1 0.0000 0.0000 0.5000 1
Rh1 0.0000 0.0000 0.1180 1
Rh2 0.0000 0.0000 0.3695 1
```